No. 1
Li2Tb2HoMg5: calculated X-ray diffraction stick pattern (Cu Ka), based on a cell relaxed with GGA-PBE.
Intensities are scaled so that the largest is 100.

Peak list (6 most intense, 2θ = 10–90°, low angle first)
Position (°2θ), Rel. int.
18.78, 59
20.14, 47
26.68, 45
27.67, 79
31.39, 54
33.65, 100

Crystal structure
a = 10.5667 Å, b = 10.5667 Å, c = 4.4088 Å
α = 90.00°, β = 90.00°, γ = 90.00°
Element x y z (fractional)
Li 0.1150 0.3850 0.0000
Li 0.3850 0.8850 0.0000
Li 0.6150 0.1150 0.0000
Li 0.8850 0.6150 0.0000
Tb 0.1799 0.6799 0.0000
Tb 0.3201 0.1799 0.0000
Tb 0.6799 0.8201 0.0000
Tb 0.8201 0.3201 0.0000
Ho 0.0000 0.0000 0.0000
Ho 0.5000 0.5000 0.0000
Mg 0.0000 0.5000 0.5000
Mg 0.0631 0.2135 0.5000
Mg 0.2135 0.9369 0.5000
Mg 0.2865 0.4369 0.5000
Mg 0.4369 0.7135 0.5000
Mg 0.5000 0.0000 0.5000
Mg 0.5631 0.2865 0.5000
Mg 0.7135 0.5631 0.5000
Mg 0.7865 0.0631 0.5000
Mg 0.9369 0.7865 0.5000


No. 2
La6In2CoRu: calculated X-ray diffraction stick pattern (Cu Ka), based on a cell relaxed with GGA-PBE.
Intensities are scaled so that the largest is 100.

Peak list (6 most intense, 2θ = 10–90°, low angle first)
Position (°2θ), Rel. int.
28.64, 100
33.16, 64
33.25, 32
47.64, 69
56.49, 29
59.29, 24

Crystal structure
a = 7.6423 Å, b = 7.6363 Å, c = 7.6277 Å
α = 60.09°, β = 60.01°, γ = 59.90°
Element x y z (fractional)
La 0.0000 0.0000 0.0000
La 0.9999 0.4932 0.0001
La 0.0000 0.4936 0.5064
La 0.4932 0.9999 0.5068
La 0.4936 0.0000 0.0000
La 0.4936 0.4936 0.5064
In 0.4969 0.4969 0.0031
In 0.9969 0.9969 0.5031
Co 0.2466 0.2466 0.7534
Ru 0.7474 0.7474 0.2526